[1]
For NdGaGe2O7, a structure optimized by DFT (GGA-PBE) gives the computed PXRD pattern in this record (Cu Kα X-rays).
Lines closer than 0.1° are merged.

Crystal structure
```
data_NdGaGe2O7
_cell_length_a 7.2092
_cell_length_b 6.6149
_cell_length_c 12.8723
_cell_angle_alpha 90.00
_cell_angle_beta 117.53
_cell_angle_gamma 90.00
_symmetry_space_group_name_H-M 'P 1 21/c 1'
_symmetry_Int_Tables_number 14
loop_
_symmetry_equiv_pos_as_xyz
'x,y,z'
'-x,-y,-z'
'-x,y+1/2,-z+1/2'
'x,-y+1/2,z+1/2'
loop_
_atom_site_label
_atom_site_type_symbol
_atom_site_fract_x
_atom_site_fract_y
_atom_site_fract_z
Nd1 Nd 0.2359 0.1461 0.4761
Ga1 Ga 0.2134 0.1015 0.7321
Ge1 Ge 0.2142 0.6576 0.4568
Ge2 Ge 0.2966 0.5889 0.7204
O1 O 0.0067 0.6633 0.9224
O2 O 0.1507 0.6862 0.1845
O3 O 0.2070 0.0518 0.8719
O4 O 0.2152 0.1098 0.2797
O5 O 0.2519 0.0012 0.0775
O6 O 0.4103 0.6739 0.9803
O7 O 0.4325 0.1264 0.6935
```

Top 8 peaks for 5 to 70 degrees two-theta, in order of falling intensity:
- d = 3.196 Å, I 1000
- d = 3.003 Å, I 735
- d = 2.856 Å, I 591
- d = 2.895 Å, I 451
- d = 3.218 Å, I 427
- d = 2.709 Å, I 335
- d = 2.496 Å, I 320
- d = 2.022 Å, I 276

=====

[2]
For NbAsO5, a structure optimized by DFT (GGA-PBE) gives the computed PXRD pattern in this record (Cu Kα X-rays).
Lines closer than 0.1° are merged.

Crystal structure
```
data_NbAsO5
_cell_length_a 6.4798
_cell_length_b 6.4798
_cell_length_c 4.0264
_cell_angle_alpha 90.00
_cell_angle_beta 90.00
_cell_angle_gamma 90.00
_symmetry_space_group_name_H-M 'P 4/n'
_symmetry_Int_Tables_number 85
loop_
_symmetry_equiv_pos_as_xyz
'x,y,z'
'-x,-y,-z'
'-y+1/2,x,z'
'y+1/2,-x,-z'
'-x+1/2,-y+1/2,z'
'x+1/2,y+1/2,-z'
'y,-x+1/2,z'
'-y,x+1/2,-z'
loop_
_atom_site_label
_atom_site_type_symbol
_atom_site_fract_x
_atom_site_fract_y
_atom_site_fract_z
Nb1 Nb 0.2500 0.2500 0.1963
As1 As 0.2500 0.7500 0.5000
O1 O 0.0488 0.8250 0.7440
O2 O 0.2500 0.2500 0.7486
```

Top 8 peaks for 5 to 70 degrees two-theta, in order of falling intensity:
- d = 3.240 Å, I 1000
- d = 3.420 Å, I 606
- d = 3.025 Å, I 600
- d = 1.436 Å, I 342
- d = 2.291 Å, I 284
- d = 1.843 Å, I 264
- d = 1.826 Å, I 264
- d = 1.449 Å, I 208